Starting from a DFT-relaxed cell (PBE, the Materials Project), the powder diffractogram of Ba3SrNb2O9 was simulated for CuKα.
No peak broadening, texture or thermal motion is included.

Structural model:
Lattice parameters (Å, degrees): 6.1508 6.1508 15.7198 90.00 90.00 120.00
Space group P6_3/m (No. 176)
One atom of each set of equivalent atoms:
Ba 0.0000 0.0000 0.2500 (multiplicity 2)
Ba 0.3333 0.6667 0.1230 (multiplicity 4)
Sr 0.0000 0.0000 0.0000 (multiplicity 2)
Nb 0.3333 0.6667 0.6540 (multiplicity 4)
O 0.0409 0.4739 0.7500 (multiplicity 6)
O 0.1144 0.7610 0.5989 (multiplicity 12)

Largest 8 diffraction maxima, in order of rising 2θ, 2θ from 10° to 80°:
(1 0 4), 28.22 deg, I = 90
(1 1 0), 29.03 deg, I = 100
(2 0 4), 40.93 deg, I = 49
(1 2 4), 50.96 deg, I = 34
(3 0 0), 51.47 deg, I = 23
(1 1 8), 55.49 deg, I = 19
(2 2 0), 60.18 deg, I = 17
(1 3 4), 67.76 deg, I = 15


Starting from a DFT-relaxed cell (PBE, the Materials Project), the powder diffractogram of NbCr3Cu2S8 was simulated for CuKα.
No peak broadening, texture or thermal motion is included.

Structural model:
Lattice parameters (Å, degrees): 11.8588 6.9724 11.3917 90.00 90.03 90.00
Space group Pc (No. 7)
One atom of each set of equivalent atoms:
Nb 0.0000 0.1192 0.0000 (multiplicity 2)
Nb 0.3523 0.3656 0.5443 (multiplicity 2)
Cr 0.1991 0.1458 0.7723 (multiplicity 2)
Cr 0.2422 0.3937 0.2399 (multiplicity 2)
Cr 0.4883 0.1346 0.3004 (multiplicity 2)
Cr 0.6946 0.1086 0.5473 (multiplicity 2)
Cr 0.7223 0.3952 0.0629 (multiplicity 2)
Cr 0.8501 0.3661 0.7831 (multiplicity 2)
Cu 0.3569 0.0950 0.0314 (multiplicity 2)
Cu 0.5126 0.3593 0.8184 (multiplicity 2)
Cu 0.8406 0.1192 0.2864 (multiplicity 2)
Cu 0.9899 0.3740 0.5174 (multiplicity 2)
S 0.0303 0.1297 0.3752 (multiplicity 2)
S 0.0443 0.3676 0.8658 (multiplicity 2)
S 0.1593 0.3711 0.6213 (multiplicity 2)
S 0.1636 0.1222 0.1277 (multiplicity 2)
S 0.2949 0.1497 0.3767 (multiplicity 2)
S 0.3125 0.3851 0.8793 (multiplicity 2)
S 0.3938 0.1218 0.6838 (multiplicity 2)
S 0.4141 0.3595 0.1562 (multiplicity 2)
S 0.5363 0.0843 0.9412 (multiplicity 2)
S 0.5426 0.3687 0.4397 (multiplicity 2)
S 0.6606 0.1359 0.1906 (multiplicity 2)
S 0.6684 0.3579 0.6922 (multiplicity 2)
S 0.7950 0.1488 0.9351 (multiplicity 2)
S 0.8113 0.3850 0.4255 (multiplicity 2)
S 0.8834 0.1129 0.6399 (multiplicity 2)
S 0.9006 0.3849 0.1477 (multiplicity 2)

Largest 8 diffraction maxima, in order of rising 2θ, 2θ from 10° to 80°:
(3 0 -2), 27.46 deg, I = 95
(4 0 2), 34.09 deg, I = 50
(0 2 3), 34.94 deg, I = 51
(1 2 -3), 35.78 deg, I = 100
(2 2 3), 38.19 deg, I = 82
(5 2 1), 47.02 deg, I = 37
(0 4 0), 52.50 deg, I = 42
(3 2 -5), 53.33 deg, I = 35


Starting from a DFT-relaxed cell (PBE, the Materials Project), the powder diffractogram of Na4UO5 was simulated for CuKα.
No peak broadening, texture or thermal motion is included.

Structural model:
Lattice parameters (Å, degrees): 7.6995 7.6995 4.6534 90.00 90.00 90.00
Space group I4/m (No. 87)
One atom of each set of equivalent atoms:
Na 0.1033 0.3022 0.0000 (multiplicity 8)
U 0.0000 0.0000 0.5000 (multiplicity 2)
O 0.0000 0.0000 0.0000 (multiplicity 2)
O 0.0751 0.2536 0.5000 (multiplicity 8)

Largest 8 diffraction maxima, in order of rising 2θ, 2θ from 10° to 80°:
(1 1 0), 16.28 deg, I = 100
(1 0 1), 22.32 deg, I = 96
(2 0 0), 23.10 deg, I = 39
(2 1 1), 32.34 deg, I = 78
(1 3 0), 36.92 deg, I = 53
(0 0 2), 38.70 deg, I = 21
(1 3 2), 54.55 deg, I = 34
(5 0 1), 63.65 deg, I = 26


Starting from a DFT-relaxed cell (PBE, the Materials Project), the powder diffractogram of DySiPt2 was simulated for CuKα.
No peak broadening, texture or thermal motion is included.

Structural model:
Lattice parameters (Å, degrees): 7.3603 6.9650 5.5550 90.00 90.00 90.00
Space group Pnma (No. 62)
One atom of each set of equivalent atoms:
Dy 0.0278 0.2500 0.1377 (multiplicity 4)
Si 0.1197 0.7500 0.3612 (multiplicity 4)
Pt 0.1812 0.0506 0.5919 (multiplicity 8)

Largest 8 diffraction maxima, in order of rising 2θ, 2θ from 10° to 80°:
(1 2 1), 32.70 deg, I = 78
(1 0 2), 34.51 deg, I = 92
(2 2 0), 35.49 deg, I = 100
(1 1 2), 36.92 deg, I = 71
(3 0 1), 40.18 deg, I = 97
(1 2 2), 43.45 deg, I = 57
(1 3 1), 44.03 deg, I = 64
(4 3 0), 64.65 deg, I = 69


Starting from a DFT-relaxed cell (PBE, the Materials Project), the powder diffractogram of Na4Ti4Si3O22 was simulated for CuKα.
No peak broadening, texture or thermal motion is included.

Structural model:
Lattice parameters (Å, degrees): 10.7463 10.7463 14.1970 90.00 90.00 120.00
Space group R3m (No. 160, hexagonal axes)
One atom of each set of equivalent atoms:
Na 0.0000 0.0000 0.0000 (multiplicity 3)
Na 0.0532 0.5266 0.1829 (multiplicity 9)
Ti 0.0000 0.0000 0.3880 (multiplicity 3)
Ti 0.1970 0.0985 0.2227 (multiplicity 9)
Si 0.0045 0.5022 0.7638 (multiplicity 9)
O 0.0000 0.0000 0.1554 (multiplicity 3)
O 0.0016 0.2615 0.1415 (multiplicity 18)
O 0.0226 0.5113 0.6477 (multiplicity 9)
O 0.0716 0.1431 0.7257 (multiplicity 9)
O 0.0817 0.1634 0.3012 (multiplicity 9)
O 0.1427 0.0714 0.6837 (multiplicity 9)
O 0.1704 0.0852 0.4665 (multiplicity 9)

Largest 8 diffraction maxima, in order of rising 2θ, 2θ from 10° to 80°:
(1 0 1), 11.37 deg, I = 100
(1 1 0), 16.50 deg, I = 14
(0 2 1), 20.08 deg, I = 17
(1 1 3), 25.08 deg, I = 13
(1 0 4), 26.88 deg, I = 13
(1 2 2), 28.32 deg, I = 20
(2 0 5), 37.07 deg, I = 25
(3 1 5), 47.61 deg, I = 12


Starting from a DFT-relaxed cell (PBE, the Materials Project), the powder diffractogram of Ba3Zn2As4 was simulated for CuKα.
No peak broadening, texture or thermal motion is included.

Structural model:
Lattice parameters (Å, degrees): 17.0782 4.5413 7.3180 90.00 113.10 90.00
Space group C2/m (No. 12)
One atom of each set of equivalent atoms:
Ba 0.0000 0.0000 0.0000 (multiplicity 2)
Ba 0.1434 0.0000 0.5831 (multiplicity 4)
Zn 0.1717 0.5000 0.9628 (multiplicity 4)
As 0.0113 0.5000 0.6806 (multiplicity 4)
As 0.2065 0.0000 0.1661 (multiplicity 4)

Largest 8 diffraction maxima, in order of rising 2θ, 2θ from 10° to 80°:
(3 1 -1), 25.95 deg, I = 74
(1 1 -2), 31.76 deg, I = 82
(3 1 1), 32.18 deg, I = 100
(5 1 -1), 32.87 deg, I = 43
(6 0 0), 34.24 deg, I = 40
(0 2 0), 39.69 deg, I = 46
(2 0 3), 46.24 deg, I = 21
(6 2 0), 53.40 deg, I = 22


Starting from a DFT-relaxed cell (PBE, the Materials Project), the powder diffractogram of Lu3Cd was simulated for CuKα.
No peak broadening, texture or thermal motion is included.

Structural model:
Lattice parameters (Å, degrees): 4.7609 4.7609 4.7609 90.00 90.00 90.00
Space group Pm-3m (No. 221)
One atom of each set of equivalent atoms:
Lu 0.0000 0.0000 0.5000 (multiplicity 3)
Cd 0.5000 0.5000 0.5000 (multiplicity 1)

Largest 8 diffraction maxima, in order of rising 2θ, 2θ from 10° to 80°:
(1 0 0), 18.64 deg, I = 2
(1 1 0), 26.48 deg, I = 2
(1 1 1), 32.58 deg, I = 100
(2 0 0), 37.79 deg, I = 50
(2 1 0), 42.46 deg, I = 1
(2 2 0), 54.52 deg, I = 35
(3 1 1), 64.97 deg, I = 41
(2 2 2), 68.24 deg, I = 12


Starting from a DFT-relaxed cell (PBE, the Materials Project), the powder diffractogram of SiC was simulated for CuKα.
No peak broadening, texture or thermal motion is included.

Structural model:
Lattice parameters (Å, degrees): 3.0949 3.0949 144.2649 90.00 90.00 120.00
Space group R3m (No. 160, hexagonal axes)
One atom of each set of equivalent atoms:
Si 0.0000 0.0000 0.0000 (multiplicity 3)
Si 0.0000 0.0000 0.0351 (multiplicity 3)
Si 0.0000 0.0000 0.1053 (multiplicity 3)
Si 0.0000 0.0000 0.1404 (multiplicity 3)
Si 0.0000 0.0000 0.2105 (multiplicity 3)
Si 0.0000 0.0000 0.2456 (multiplicity 3)
Si 0.0000 0.0000 0.3158 (multiplicity 3)
Si 0.0000 0.0000 0.3860 (multiplicity 3)
Si 0.0000 0.0000 0.4211 (multiplicity 3)
Si 0.0000 0.0000 0.4912 (multiplicity 3)
Si 0.0000 0.0000 0.5263 (multiplicity 3)
Si 0.0000 0.0000 0.5965 (multiplicity 3)
Si 0.0000 0.0000 0.6316 (multiplicity 3)
Si 0.0000 0.0000 0.6842 (multiplicity 3)
Si 0.0000 0.0000 0.7369 (multiplicity 3)
Si 0.0000 0.0000 0.7895 (multiplicity 3)
Si 0.0000 0.0000 0.8421 (multiplicity 3)
Si 0.0000 0.0000 0.8947 (multiplicity 3)
Si 0.0000 0.0000 0.9474 (multiplicity 3)
C 0.0000 0.0000 0.0219 (multiplicity 3)
C 0.0000 0.0000 0.0921 (multiplicity 3)
C 0.0000 0.0000 0.1272 (multiplicity 3)
C 0.0000 0.0000 0.1974 (multiplicity 3)
C 0.0000 0.0000 0.2325 (multiplicity 3)
C 0.0000 0.0000 0.3026 (multiplicity 3)
C 0.0000 0.0000 0.3728 (multiplicity 3)
C 0.0000 0.0000 0.4079 (multiplicity 3)
C 0.0000 0.0000 0.4781 (multiplicity 3)
C 0.0000 0.0000 0.5132 (multiplicity 3)
C 0.0000 0.0000 0.5833 (multiplicity 3)
C 0.0000 0.0000 0.6184 (multiplicity 3)
C 0.0000 0.0000 0.6710 (multiplicity 3)
C 0.0000 0.0000 0.7237 (multiplicity 3)
C 0.0000 0.0000 0.7763 (multiplicity 3)
C 0.0000 0.0000 0.8289 (multiplicity 3)
C 0.0000 0.0000 0.8815 (multiplicity 3)
C 0.0000 0.0000 0.9342 (multiplicity 3)
C 0.0000 0.0000 0.9868 (multiplicity 3)

Largest 8 diffraction maxima, in order of rising 2θ, 2θ from 10° to 80°:
(1 0 10), 34.02 deg, I = 20
(0 1 11), 34.14 deg, I = 12
(0 0 57), 35.49 deg, I = 100
(0 1 20), 35.74 deg, I = 27
(1 0 28), 37.84 deg, I = 21
(0 1 29), 38.14 deg, I = 19
(1 1 0), 59.75 deg, I = 64
(1 1 57), 71.45 deg, I = 49